Starting from DFT lattice parameters and positions (PBE), the XRD peak list of NaNbSi2SnSO12 was simulated for Cu Kα (λ = 1.5418 Å).
No peak broadening, texture or thermal motion is included.

Principal peaks in the range 10° ≤ 2θ ≤ 80°, in order of rising 2θ:
19.15°, I = 28
19.40°, I = 51
19.99°, I = 100
23.16°, I = 23
27.82°, I = 32
30.64°, I = 25
30.88°, I = 24
31.09°, I = 31
34.99°, I = 35
54.67°, I = 27

Crystal structure
```
NaNbSi2SnSO12
1.0
7.694 -4.442 0.000
7.694 4.442 0.000
-5.261 0.000 7.640
Na Nb Si Sn S O
2 2 4 2 2 24
Cartesian
5.063 2.377 3.820
7.694 -2.377 0.000
5.261 2.215 0.444
2.631 -2.215 4.265
2.217 3.465 5.642
2.620 0.382 1.820
-0.011 -0.382 5.640
4.847 -3.465 1.822
5.140 2.366 7.088
7.771 -2.366 3.268
8.116 0.926 1.843
5.485 -0.926 5.663
1.378 1.427 1.897
1.255 3.187 6.967
-0.348 0.473 4.313
3.643 2.693 5.782
4.025 1.247 1.671
2.283 -0.473 0.493
0.128 0.626 6.956
-1.252 -1.427 5.717
6.782 1.619 1.746
2.759 -0.626 3.136
1.394 -1.247 5.491
8.908 1.141 0.620
8.741 1.513 3.055
5.236 0.511 5.810
11.848 1.506 0.468
7.866 -0.511 1.989
4.151 -1.619 5.566
6.277 -1.141 4.440
3.886 -3.187 3.146
6.274 -2.693 1.962
10.102 0.665 5.477
6.111 -1.513 6.875
9.217 -1.506 4.289
12.733 -0.665 1.657
```